Record 1
Diffraction record for Rb2BAuCl6. The PXRD pattern is calculated, not measured: it uses a structure optimized by DFT (PBE) and Cu Kα (λ = 1.5418 Å).
Lines closer than 0.1° are merged.

Main lines, sorted by position (15 to 90 degrees two-theta):
3.760 Å, 23.66 deg, I = 100, (1 1 2)
3.671 Å, 24.24 deg, I = 50, (2 0 0)
3.144 Å, 28.39 deg, I = 69, (2 1 1)
2.726 Å, 32.85 deg, I = 31, (0 0 4)
2.596 Å, 34.55 deg, I = 48, (2 2 0)
2.437 Å, 36.89 deg, I = 19, (2 1 3)
2.388 Å, 37.67 deg, I = 30, (3 0 1)
2.189 Å, 41.25 deg, I = 21, (2 0 4)
2.136 Å, 42.31 deg, I = 29, (3 1 2)
1.880 Å, 48.42 deg, I = 32, (2 2 4)
1.817 Å, 50.22 deg, I = 21, (2 1 5)
1.407 Å, 66.47 deg, I = 20, (4 2 4)

```
data_Rb2BAuCl6
_space_group_name_H-M_alt 'I 4/m m m'
_space_group_IT_number 139
_space_group_name_Hall '-I 4 2'
_cell_length_a 7.3426
_cell_length_b 7.3426
_cell_length_c 10.9044
_cell_angle_alpha 90.00
_cell_angle_beta 90.00
_cell_angle_gamma 90.00
loop_
_atom_site_label
_atom_site_type_symbol
_atom_site_fract_x
_atom_site_fract_y
_atom_site_fract_z
Rb1 Rb 0.0000 0.5000 0.2500
B1 B 0.0000 0.0000 0.0000
Au1 Au 0.0000 0.0000 0.5000
Cl1 Cl 0.0000 0.0000 0.2880
Cl2 Cl 0.1916 0.1916 0.0000
```

Record 2
Diffraction record for Tm2In2Ag. The PXRD pattern is calculated, not measured: it uses a structure optimized by DFT (PBE) and Cu Kα (λ = 1.5418 Å).
Lines closer than 0.1° are merged.

Main lines, sorted by position (15 to 90 degrees two-theta):
2.718 Å, 32.95 deg, I = 70, (1 1 1)
2.531 Å, 35.47 deg, I = 100, (0 1 5)
2.420 Å, 37.15 deg, I = 17, (1 1 3)
2.346 Å, 38.37 deg, I = 27, (0 2 0)
2.021 Å, 44.84 deg, I = 8, (1 0 6)
1.720 Å, 53.25 deg, I = 24, (1 2 4)
1.710 Å, 53.58 deg, I = 10, (2 0 0)
1.531 Å, 60.46 deg, I = 7, (1 2 6)
1.430 Å, 65.26 deg, I = 13, (1 1 9)
1.417 Å, 65.93 deg, I = 29, (2 1 5)
1.387 Å, 67.51 deg, I = 9, (0 3 5)
1.382 Å, 67.81 deg, I = 10, (2 2 0)

```
data_Tm2In2Ag
_space_group_name_H-M_alt 'A m m 2'
_space_group_IT_number 38
_cell_length_a 3.4207
_cell_length_b 4.6916
_cell_length_c 15.0339
_cell_angle_alpha 90.00
_cell_angle_beta 90.00
_cell_angle_gamma 90.00
loop_
_space_group_symop_operation_xyz
'x,y,z'
'-x,-y,z'
'-x,y,z'
'x,-y,z'
'x,y+1/2,z+1/2'
'-x,-y+1/2,z+1/2'
'-x,y+1/2,z+1/2'
'x,-y+1/2,z+1/2'
loop_
_atom_site_label
_atom_site_type_symbol
_atom_site_fract_x
_atom_site_fract_y
_atom_site_fract_z
Tm1 Tm 0.0000 0.0000 0.0000
Tm2 Tm 0.0000 0.0000 0.2279
In1 In 0.5000 0.0000 0.6108
In2 In 0.5000 0.0000 0.8160
Ag1 Ag 0.5000 0.0000 0.4165
```

Record 3
Diffraction record for Ti6SeS3. The PXRD pattern is calculated, not measured: it uses a structure optimized by DFT (PBE) and Cu Kα (λ = 1.5418 Å).
Lines closer than 0.1° are merged.

Main lines, sorted by position (15 to 90 degrees two-theta):
3.125 Å, 28.56 deg, I = 17, (1 3 1)
3.047 Å, 29.31 deg, I = 26, (2 2 1)
3.008 Å, 29.70 deg, I = 21, (0 4 0)
2.553 Å, 35.16 deg, I = 20, (3 1 1)
2.337 Å, 38.53 deg, I = 20, (1 3 2)
2.303 Å, 39.11 deg, I = 100, (2 2 2)
2.290 Å, 39.34 deg, I = 43, (2 4 1)
2.189 Å, 41.24 deg, I = 17, (3 3 1)
2.168 Å, 41.66 deg, I = 32, (4 0 0)
2.066 Å, 43.81 deg, I = 24, (3 1 2)
1.905 Å, 47.75 deg, I = 20, (0 6 1)
1.850 Å, 49.27 deg, I = 26, (3 5 0)

```
data_Ti6SeS3
_space_group_name_H-M_alt 'C m c 21'
_space_group_IT_number 36
_cell_length_a 8.6731
_cell_length_b 12.0318
_cell_length_c 6.0954
_cell_angle_alpha 90.00
_cell_angle_beta 90.00
_cell_angle_gamma 90.00
loop_
_space_group_symop_operation_xyz
'x,y,z'
'-x,-y,z+1/2'
'-x,y,z'
'x,-y,z+1/2'
'x+1/2,y+1/2,z'
'-x+1/2,-y+1/2,z+1/2'
'-x+1/2,y+1/2,z'
'x+1/2,-y+1/2,z+1/2'
loop_
_atom_site_label
_atom_site_type_symbol
_atom_site_fract_x
_atom_site_fract_y
_atom_site_fract_z
Ti1 Ti 0.0000 0.0266 0.0000
Ti2 Ti 0.0000 0.2517 0.1857
Ti3 Ti 0.1752 0.4599 0.1193
Ti4 Ti 0.2281 0.2853 0.4802
Se1 Se 0.0000 0.2052 0.7740
S1 S 0.0000 0.4160 0.4232
S2 S 0.1841 0.1028 0.3021
```

Record 4
Diffraction record for LaPmRuCl. The PXRD pattern is calculated, not measured: it uses a structure optimized by DFT (PBE) and Cu Kα (λ = 1.5418 Å).
Lines closer than 0.1° are merged.

Main lines, sorted by position (15 to 90 degrees two-theta):
3.422 Å, 26.04 deg, I = 20, (0 1 0)
2.946 Å, 30.34 deg, I = 43, (0 1 2)
2.644 Å, 33.91 deg, I = 100, (1 0 2)
2.451 Å, 36.67 deg, I = 56, (1 1 0)
2.416 Å, 37.21 deg, I = 54, (1 -1 0)
2.392 Å, 37.61 deg, I = 73, (0 1 -2)
2.144 Å, 42.15 deg, I = 22, (1 0 -3)
2.048 Å, 44.23 deg, I = 15, (0 0 4)
1.749 Å, 52.29 deg, I = 16, (0 2 1)
1.731 Å, 52.90 deg, I = 16, (2 0 0)
1.467 Å, 63.41 deg, I = 32, (1 2 3)
1.452 Å, 64.16 deg, I = 15, (-1 2 3)

```
data_LaPmRuCl
_space_group_name_H-M_alt 'P 1'
_space_group_IT_number 1
_cell_length_a 3.4616
_cell_length_b 3.4993
_cell_length_c 8.3739
_cell_angle_alpha 78.01
_cell_angle_beta 89.81
_cell_angle_gamma 89.16
loop_
_space_group_symop_operation_xyz
'x,y,z'
loop_
_atom_site_label
_atom_site_type_symbol
_atom_site_fract_x
_atom_site_fract_y
_atom_site_fract_z
La1 La 0.0000 0.0000 0.0000
Pm1 Pm 0.0011 0.7883 0.4280
Ru1 Ru 0.5006 0.3913 0.2207
Cl1 Cl 0.5008 0.6365 0.7271
```

Record 5
Diffraction record for YAlPt. The PXRD pattern is calculated, not measured: it uses a structure optimized by DFT (PBE) and Cu Kα (λ = 1.5418 Å).
Lines closer than 0.1° are merged.

Main lines, sorted by position (15 to 90 degrees two-theta):
3.614 Å, 24.63 deg, I = 24, (0 2 2)
3.596 Å, 24.76 deg, I = 35, (1 2 1)
3.115 Å, 28.66 deg, I = 18, (0 4 2)
3.103 Å, 28.77 deg, I = 27, (1 4 1)
2.681 Å, 33.43 deg, I = 21, (1 3 2)
2.601 Å, 34.49 deg, I = 100, (1 6 1)
2.259 Å, 39.91 deg, I = 12, (0 9 1)
2.215 Å, 40.74 deg, I = 42, (1 0 3)
2.202 Å, 40.98 deg, I = 29, (2 0 0)
2.185 Å, 41.33 deg, I = 14, (0 8 2)
1.879 Å, 48.44 deg, I = 23, (1 6 3)
1.274 Å, 74.49 deg, I = 19, (3 0 3)

```
data_YAlPt
_space_group_name_H-M_alt 'I m m 2'
_space_group_IT_number 44
_cell_length_a 4.4046
_cell_length_b 21.2716
_cell_length_c 7.6856
_cell_angle_alpha 90.00
_cell_angle_beta 90.00
_cell_angle_gamma 90.00
loop_
_space_group_symop_operation_xyz
'x,y,z'
'-x,-y,z'
'-x,y,z'
'x,-y,z'
'x+1/2,y+1/2,z+1/2'
'-x+1/2,-y+1/2,z+1/2'
'-x+1/2,y+1/2,z+1/2'
'x+1/2,-y+1/2,z+1/2'
loop_
_atom_site_label
_atom_site_type_symbol
_atom_site_fract_x
_atom_site_fract_y
_atom_site_fract_z
Y1 Y 0.0000 0.0000 0.0000
Y2 Y 0.0000 0.1643 0.9030
Y3 Y 0.0000 0.3264 0.0200
Y4 Y 0.0000 0.5000 0.9150
Al1 Al 0.0000 0.1114 0.2864
Al2 Al 0.0000 0.2820 0.6386
Al3 Al 0.0000 0.4354 0.2866
Pt1 Pt 0.0000 0.0762 0.6128
Pt2 Pt 0.0000 0.2386 0.3137
Pt3 Pt 0.0000 0.4059 0.6180
```

Record 6
Diffraction record for CaPr2Cd2. The PXRD pattern is calculated, not measured: it uses a structure optimized by DFT (PBE) and Cu Kα (λ = 1.5418 Å).
Lines closer than 0.1° are merged.

Main lines, sorted by position (15 to 90 degrees two-theta):
5.176 Å, 17.13 deg, I = 8, (0 1 1)
2.904 Å, 30.78 deg, I = 17, (0 0 5)
2.766 Å, 32.37 deg, I = 100, (0 2 0)
2.572 Å, 34.88 deg, I = 5, (0 1 5)
2.004 Å, 45.24 deg, I = 12, (0 2 5)
1.909 Å, 47.65 deg, I = 7, (2 0 -1)
1.649 Å, 55.76 deg, I = 8, (1 1 7)
1.598 Å, 57.68 deg, I = 15, (1 3 2)
1.595 Å, 57.81 deg, I = 6, (2 0 4)
1.572 Å, 58.75 deg, I = 7, (2 2 -1)
1.382 Å, 67.80 deg, I = 7, (2 2 4)
1.213 Å, 78.94 deg, I = 6, (3 1 1)

```
data_CaPr2Cd2
_space_group_name_H-M_alt 'P 1 21/m 1'
_space_group_IT_number 11
_cell_length_a 3.8172
_cell_length_b 5.5398
_cell_length_c 14.6482
_cell_angle_alpha 90.00
_cell_angle_beta 97.52
_cell_angle_gamma 90.00
loop_
_space_group_symop_operation_xyz
'x,y,z'
'-x,-y,-z'
'-x,y+1/2,-z'
'x,-y+1/2,z'
loop_
_atom_site_label
_atom_site_type_symbol
_atom_site_fract_x
_atom_site_fract_y
_atom_site_fract_z
Ca1 Ca 0.1458 0.2500 0.2905
Pr1 Pr 0.0473 0.7500 0.0933
Pr2 Pr 0.2336 0.7500 0.4676
Cd1 Cd 0.3587 0.2500 0.7175
Cd2 Cd 0.4489 0.7500 0.8994
```